Structure and calculated X-ray powder pattern of Tl2Ga2Cl7 (a cell relaxed with PBE; a wavelength of 1.5418 Å).

Structural model:
```
data_Tl2Ga2Cl7
_space_group_name_H-M_alt 'C 1 2/m 1'
_space_group_IT_number 12
_space_group_name_Hall '-C 2y'
_cell_length_a 10.217
_cell_length_b 12.260
_cell_length_c 6.563
_cell_angle_alpha 90.00
_cell_angle_beta 100.50
_cell_angle_gamma 90.00
loop_
_atom_site_label
_atom_site_fract_x
_atom_site_fract_y
_atom_site_fract_z
_atom_site_occupancy
Tl1 0.000 0.207 0.000 1
Ga1 0.224 0.500 0.429 1
Cl1 0.000 0.500 0.500 1
Cl2 0.125 0.000 0.269 1
Cl3 0.242 0.151 0.754 1
```

Largest 10 diffraction maxima, low angle first, 10 to 80 degrees two-theta:
d (Å), 2theta, I_rel
4.652, 19.08, 27.0
4.444, 19.98, 100.0
4.368, 20.33, 55.3
3.885, 22.89, 40.7
3.785, 23.50, 22.4
3.171, 28.14, 21.2
3.139, 28.44, 20.2
2.674, 33.51, 24.6
2.512, 35.75, 41.5
2.378, 37.83, 27.6